Zr3NiGe4: theoretical powder diffractogram (Cu Kα, 1.54184 Å), based on a GGA-PBE-relaxed structure.

Most intense lines, 5° ≤ 2θ ≤ 70°, by angle:
- 2θ 27.3, I = 22, hkl 1 1 0
- 2θ 28.9, I = 22, hkl 2 0 0
- 2θ 30.7, I = 49, hkl 1 1 1
- 2θ 32.0, I = 34, hkl 2 0 -1
- 2θ 39.0, I = 100, hkl 1 1 -2
- 2θ 39.3, I = 49, hkl 1 1 2
- 2θ 40.1, I = 39, hkl 2 1 1
- 2θ 40.5, I = 27, hkl 2 0 2
- 2θ 47.3, I = 40, hkl 0 2 0
- 2θ 50.3, I = 38, hkl 3 1 0

Unit cell a=6.176 b=3.840 c=6.495 alpha=90.00 beta=90.60 gamma=90.00
Fractional positions:
Zr: 0.000 0.000 0.000
Zr: 0.071 0.000 0.513
Zr: 0.542 0.500 0.052
Ni: 0.469 0.500 0.529
Ge: 0.166 0.500 0.249
Ge: 0.406 0.000 0.773
Ge: 0.648 0.000 0.362
Ge: 0.820 0.500 0.717